1.
The following is a theoretical XRD peak list of Er2AgHg3. It was derived from DFT lattice parameters and positions (GGA-PBE), using Cu Kα (weighted mean of Kα1 and Kα2).
Peak positions follow from Bragg's law for the DFT cell and can differ from measured ones.

Peak list (10 most intense, 10 to 80 degrees two-theta, most intense first)
| 2θ (°) | intensity |
| --- | --- |
| 33.92 | 1000 |
| 36.75 | 620 |
| 36.91 | 306 |
| 67.27 | 215 |
| 50.96 | 211 |
| 66.40 | 110 |
| 50.80 | 108 |
| 67.37 | 106 |
| 64.43 | 106 |
| 64.33 | 105 |

Structural model:
a = 9.7815 Å, b = 9.1332 Å, c = 5.9317 Å
α = 77.79°, β = 65.87°, γ = 36.35°
Positions (direct):
Er 0.2489 0.7511 0.7511
Er 0.2500 0.2500 0.2500
Er 0.7500 0.7500 0.7500
Er 0.7511 0.2489 0.2489
Ag 0.1673 0.1673 0.8327
Ag 0.8327 0.8327 0.1673
Hg 0.1615 0.6697 0.3303
Hg 0.3303 0.8385 0.1615
Hg 0.3313 0.3313 0.6687
Hg 0.6687 0.6687 0.3313
Hg 0.6697 0.1615 0.8385
Hg 0.8385 0.3303 0.6697

2.
The following is a theoretical XRD peak list of AcLa5Y5. It was derived from DFT lattice parameters and positions (GGA-PBE), using Cu Kα (weighted mean of Kα1 and Kα2).
Peak positions follow from Bragg's law for the DFT cell and can differ from measured ones.

Peak list (10 most intense, 10 to 80 degrees two-theta, most intense first)
| 2θ (°) | intensity |
| --- | --- |
| 27.64 | 1000 |
| 28.31 | 872 |
| 49.71 | 404 |
| 29.29 | 353 |
| 36.28 | 221 |
| 34.09 | 215 |
| 58.57 | 208 |
| 50.12 | 180 |
| 65.96 | 170 |
| 44.88 | 168 |

Structural model:
a = 6.3043 Å, b = 6.3043 Å, c = 12.0058 Å
α = 90.00°, β = 90.00°, γ = 120.00°
Positions (direct):
Ac 0.0000 0.0000 0.0000
La 0.0000 0.0000 0.3220
La 0.0000 0.0000 0.6780
La 0.3333 0.6667 0.1545
La 0.3333 0.6667 0.8455
La 0.6667 0.3333 0.0000
Y 0.5013 0.0025 0.5000
Y 0.5013 0.4987 0.5000
Y 0.6667 0.3333 0.2626
Y 0.6667 0.3333 0.7374
Y 0.9975 0.4987 0.5000

3.
The following is a theoretical XRD peak list of Pr3Tm3Th. It was derived from DFT lattice parameters and positions (GGA-PBE), using Cu Kα (weighted mean of Kα1 and Kα2).
Peak positions follow from Bragg's law for the DFT cell and can differ from measured ones.

Peak list (10 most intense, 10 to 80 degrees two-theta, most intense first)
| 2θ (°) | intensity |
| --- | --- |
| 32.85 | 1000 |
| 33.74 | 784 |
| 30.67 | 486 |
| 31.45 | 297 |
| 60.63 | 191 |
| 50.93 | 160 |
| 28.84 | 134 |
| 30.21 | 129 |
| 27.28 | 122 |
| 31.97 | 119 |

Structural model:
a = 11.3985 Å, b = 3.5858 Å, c = 11.6809 Å
α = 90.00°, β = 93.41°, γ = 90.00°
Positions (direct):
Pr 0.0314 0.2500 0.3655
Pr 0.0494 0.2500 0.8868
Pr 0.4405 0.2500 0.8828
Pr 0.5595 0.7500 0.1172
Pr 0.9506 0.7500 0.1132
Pr 0.9686 0.7500 0.6345
Tm 0.2313 0.2500 0.6555
Tm 0.2617 0.2500 0.1493
Tm 0.2774 0.7500 0.4117
Tm 0.7226 0.2500 0.5883
Tm 0.7383 0.7500 0.8507
Tm 0.7687 0.7500 0.3445
Th 0.4851 0.7500 0.6302
Th 0.5149 0.2500 0.3698

4.
The following is a theoretical XRD peak list of NaSrMnH6. It was derived from DFT lattice parameters and positions (GGA-PBE), using Cu Kα (weighted mean of Kα1 and Kα2).
Peak positions follow from Bragg's law for the DFT cell and can differ from measured ones.

Peak list (10 most intense, 10 to 80 degrees two-theta, most intense first)
| 2θ (°) | intensity |
| --- | --- |
| 28.19 | 1000 |
| 33.74 | 327 |
| 26.32 | 322 |
| 18.40 | 317 |
| 51.58 | 193 |
| 42.02 | 158 |
| 38.12 | 155 |
| 37.83 | 147 |
| 38.83 | 140 |
| 46.92 | 127 |

Structural model:
a = 4.7564 Å, b = 5.3678 Å, c = 5.3678 Å
α = 52.18°, β = 90.00°, γ = 90.00°
Positions (direct):
Na 0.0000 0.0000 0.0000
Sr 0.5000 0.2975 0.2975
Mn 0.0000 0.6924 0.6924
H 0.2333 0.4163 0.8349
H 0.2333 0.8349 0.4163
H 0.2444 0.8129 0.8129
H 0.7556 0.8129 0.8129
H 0.7667 0.4163 0.8349
H 0.7667 0.8349 0.4163

5.
The following is a theoretical XRD peak list of Cu23Pd6Rh. It was derived from DFT lattice parameters and positions (GGA-PBE), using Cu Kα (weighted mean of Kα1 and Kα2).
Peak positions follow from Bragg's law for the DFT cell and can differ from measured ones.

Peak list (10 most intense, 10 to 80 degrees two-theta, most intense first)
| 2θ (°) | intensity |
| --- | --- |
| 43.99 | 1000 |
| 63.96 | 143 |
| 34.45 | 116 |
| 66.18 | 45 |
| 46.81 | 40 |
| 21.59 | 34 |
| 37.85 | 24 |
| 15.22 | 20 |
| 74.72 | 20 |
| 49.51 | 14 |

Structural model:
a = 8.2336 Å, b = 8.2336 Å, c = 8.2336 Å
α = 60.00°, β = 60.00°, γ = 60.00°
Positions (direct):
Cu 0.0000 0.0000 0.0000
Cu 0.0000 0.0000 0.5000
Cu 0.0000 0.5000 0.0000
Cu 0.0000 0.5000 0.5000
Cu 0.1018 0.6327 0.6327
Cu 0.1372 0.1372 0.1372
Cu 0.1372 0.1372 0.5884
Cu 0.1372 0.5884 0.1372
Cu 0.3673 0.3673 0.3673
Cu 0.3673 0.3673 0.8982
Cu 0.3673 0.8982 0.3673
Cu 0.4116 0.8628 0.8628
Cu 0.5000 0.0000 0.0000
Cu 0.5000 0.0000 0.5000
Cu 0.5000 0.5000 0.0000
Cu 0.5884 0.1372 0.1372
Cu 0.6327 0.1018 0.6327
Cu 0.6327 0.6327 0.1018
Cu 0.6327 0.6327 0.6327
Cu 0.8628 0.4116 0.8628
Cu 0.8628 0.8628 0.4116
Cu 0.8628 0.8628 0.8628
Cu 0.8982 0.3673 0.3673
Pd 0.2450 0.2450 0.7550
Pd 0.2450 0.7550 0.2450
Pd 0.2450 0.7550 0.7550
Pd 0.7550 0.2450 0.2450
Pd 0.7550 0.2450 0.7550
Pd 0.7550 0.7550 0.2450
Rh 0.5000 0.5000 0.5000

6.
The following is a theoretical XRD peak list of HoZr3. It was derived from DFT lattice parameters and positions (GGA-PBE), using Cu Kα (weighted mean of Kα1 and Kα2).
Peak positions follow from Bragg's law for the DFT cell and can differ from measured ones.

Peak list (10 most intense, 10 to 80 degrees two-theta, most intense first)
| 2θ (°) | intensity |
| --- | --- |
| 35.76 | 1000 |
| 35.62 | 507 |
| 34.17 | 374 |
| 62.18 | 291 |
| 31.28 | 256 |
| 66.79 | 206 |
| 55.48 | 183 |
| 47.00 | 164 |
| 67.94 | 149 |
| 31.13 | 128 |

Structural model:
a = 3.2971 Å, b = 10.4959 Å, c = 5.7468 Å
α = 90.00°, β = 90.00°, γ = 90.00°
Positions (direct):
Ho 0.0000 0.0000 0.0000
Ho 0.5000 0.5000 0.5000
Zr 0.0000 0.2468 0.6658
Zr 0.0000 0.5000 0.9965
Zr 0.0000 0.7532 0.6658
Zr 0.5000 0.0000 0.4965
Zr 0.5000 0.2532 0.1658
Zr 0.5000 0.7468 0.1658